Structure and theoretical powder XRD pattern of Ca2CoAs2H2O8 (a cell relaxed with GGA+U; Cu Kα, 1.54184 Å).
Intensities are scaled so that the largest is 100.

Principal peaks in the range 2θ = 10–90°, sorted by position:
| hkl | two_theta | d [Å] | intensity |
| --- | --- | --- | --- |
| 0 1 1 | 17.15 | 5.170 | 79 |
| 0 2 1 | 21.07 | 4.217 | 27 |
| 0 3 1 | 26.38 | 3.379 | 37 |
| 1 3 0 | 27.19 | 3.279 | 98 |
| 0 4 0 | 28.28 | 3.156 | 31 |
| 1 3 -1 | 28.45 | 3.137 | 66 |
| 1 2 1 | 30.35 | 2.945 | 100 |
| 1 1 -2 | 31.28 | 2.860 | 49 |
| 2 0 -1 | 32.55 | 2.751 | 41 |
| 1 2 -2 | 33.67 | 2.662 | 47 |
| 2 4 -1 | 43.65 | 2.074 | 29 |
| 3 2 0 | 54.56 | 1.682 | 24 |

Structural model:
Cell: 5.552 12.624 6.013 Å, 90.00 109.52 90.00°
Positions (direct):
Ca (0.031, 0.000, 0.465)
Ca (0.466, 0.752, 0.406)
Ca (0.534, 0.252, 0.594)
Ca (0.969, 0.500, 0.535)
Co (0.308, 0.078, 0.079)
Co (0.692, 0.578, 0.921)
As (0.138, 0.737, 0.752)
As (0.287, 0.484, 0.190)
As (0.713, 0.984, 0.810)
As (0.862, 0.237, 0.248)
H (0.045, 0.361, 0.940)
H (0.295, 0.979, 0.245)
H (0.705, 0.479, 0.755)
H (0.955, 0.861, 0.060)
O (0.050, 0.575, 0.181)
O (0.153, 0.171, 0.342)
O (0.170, 0.827, 0.549)
O (0.192, 0.407, 0.926)
O (0.200, 0.790, 0.026)
O (0.298, 0.403, 0.417)
O (0.349, 0.639, 0.722)
O (0.437, 0.051, 0.789)
O (0.563, 0.551, 0.211)
O (0.651, 0.139, 0.278)
O (0.702, 0.903, 0.583)
O (0.800, 0.290, 0.974)
O (0.808, 0.907, 0.074)
O (0.830, 0.327, 0.451)
O (0.847, 0.671, 0.658)
O (0.950, 0.075, 0.819)